# LaYGa2Ru2
Simulated X-ray powder pattern, Cu Kα. Input: DFT lattice parameters and positions (PBE).

Peak list (12 most intense, 2θ from 10° to 90°, sorted by position)
Position (°2θ)	I (rel.)
22.90	4
26.35	8
33.18	100
41.64	56
46.79	12
48.05	3
54.25	24
55.25	4
64.41	26
70.63	21
75.99	9
78.10	7

Crystal structure
```
data_LaYGa2Ru2
_cell_length_a 4.3382
_cell_length_b 4.3382
_cell_length_c 7.7657
_cell_angle_alpha 90.00
_cell_angle_beta 90.00
_cell_angle_gamma 120.00
_symmetry_space_group_name_H-M 'P -3 m 1'
_symmetry_Int_Tables_number 164
_symmetry_space_group_name_Hall '-P 3 2"'
loop_
_atom_site_label
_atom_site_fract_x
_atom_site_fract_y
_atom_site_fract_z
La1 0.0000 0.0000 0.0000
Y1 0.0000 0.0000 0.5000
Ga1 0.3333 0.6667 0.2735
Ru1 0.3333 0.6667 0.7370
```